Entry 1:
For HgH12C2I4N6, a crystal structure in the Materials Project, relaxed with PBE gives the simulated powder X-ray diffraction pattern in this record (a wavelength of 1.5418 Å).

```
data_HgH12C2I4N6
_chemical_formula_sum 'Hg2 H24 C4 I8 N12'
_cell_length_a 9.3379
_cell_length_b 9.4353
_cell_length_c 13.0349
_cell_angle_alpha 69.77
_cell_angle_beta 86.32
_cell_angle_gamma 60.36
_symmetry_space_group_name_H-M 'P -1'
_symmetry_Int_Tables_number 2
_symmetry_space_group_name_Hall '-P 1'
loop_
_atom_site_label
_atom_site_type_symbol
_atom_site_fract_x
_atom_site_fract_y
_atom_site_fract_z
Hg1 Hg 0.2319 0.3876 0.2659
H1 H 0.1149 0.8646 0.3578
H2 H 0.1629 0.6478 0.4212
H3 H 0.1918 0.9912 0.4521
H4 H 0.2168 0.3379 0.8992
H5 H 0.2824 0.9079 0.1184
H6 H 0.2870 0.8757 0.5873
H7 H 0.2981 0.4870 0.6009
H8 H 0.3336 0.1302 0.8153
H9 H 0.3434 0.3869 0.9563
H10 H 0.3428 0.5882 0.6756
H11 H 0.3686 0.7503 0.0578
H12 H 0.4521 0.9764 0.1914
C1 C 0.2300 0.7433 0.5173
C2 C 0.4646 0.2061 0.8822
I1 I 0.0041 0.7528 0.1593
I2 I 0.1150 0.1877 0.2108
I3 I 0.2706 0.2882 0.4990
I4 I 0.4519 0.6997 0.8139
N1 N 0.1677 0.7517 0.4244
N2 N 0.2211 0.8867 0.5230
N3 N 0.2982 0.5934 0.6043
N4 N 0.3308 0.3237 0.9117
N5 N 0.3842 0.8218 0.0942
N6 N 0.4463 0.1188 0.8269
```

The 10 most intense peaks (5° ≤ 2θ ≤ 70°), sorted by position:
- hkl 1 1 0, 2θ 11.24, I = 886
- hkl 1 1 1, 2θ 11.82, I = 914
- hkl 1 0 -1, 2θ 12.38, I = 658
- hkl 0 0 2, 2θ 14.61, I = 578
- hkl 2 1 -1, 2θ 20.86, I = 551
- hkl 0 0 3, 2θ 21.99, I = 799
- hkl 2 0 -1, 2θ 22.35, I = 1000
- hkl 0 2 0, 2θ 23.28, I = 796
- hkl 2 2 2, 2θ 23.76, I = 524
- hkl 2 3 1, 2θ 29.09, I = 463

=====

Entry 2:
For K2HgH4PtC6N6O2, a crystal structure in the Materials Project, relaxed with PBE gives the simulated powder X-ray diffraction pattern in this record (a wavelength of 1.5418 Å).

```
data_K2HgH4PtC6N6O2
_chemical_formula_sum 'K4 Hg2 H8 Pt2 C12 N12 O4'
_cell_length_a 9.7173
_cell_length_b 7.7936
_cell_length_c 11.5273
_cell_angle_alpha 90.00
_cell_angle_beta 111.82
_cell_angle_gamma 90.00
_symmetry_space_group_name_H-M 'P 1 21/c 1'
_symmetry_Int_Tables_number 14
_symmetry_space_group_name_Hall '-P 2ybc'
loop_
_atom_site_label
_atom_site_type_symbol
_atom_site_fract_x
_atom_site_fract_y
_atom_site_fract_z
K1 K 0.0563 0.2124 0.1420
Hg1 Hg 0.5000 0.0000 0.0000
H1 H 0.0308 0.6039 0.1197
H2 H 0.1969 0.6158 0.1338
Pt1 Pt 0.5000 0.0000 0.5000
C1 C 0.2841 0.0301 0.9764
C2 C 0.2848 0.5197 0.8955
C3 C 0.4351 0.0384 0.6433
N1 N 0.1557 0.5261 0.8416
N2 N 0.1592 0.0487 0.9605
N3 N 0.3860 0.0577 0.7216
O1 O 0.0987 0.6652 0.0897
```

The 10 most intense peaks (5° ≤ 2θ ≤ 70°), sorted by position:
- hkl 1 0 0, 2θ 9.80, I = 1000
- hkl 1 0 -2, 2θ 15.81, I = 548
- hkl 0 0 2, 2θ 16.57, I = 597
- hkl 2 0 0, 2θ 19.68, I = 445
- hkl 2 0 -2, 2θ 20.50, I = 323
- hkl 1 0 2, 2θ 22.25, I = 259
- hkl 0 2 0, 2θ 22.82, I = 356
- hkl 1 2 0, 2θ 24.89, I = 706
- hkl 1 2 -2, 2θ 27.88, I = 444
- hkl 0 2 2, 2θ 28.33, I = 356

=====

Entry 3:
For HgH6C4N4O2, a crystal structure in the Materials Project, relaxed with PBE gives the simulated powder X-ray diffraction pattern in this record (a wavelength of 1.5418 Å).

```
data_HgH6C4N4O2
_chemical_formula_sum 'Hg2 H12 C8 N8 O4'
_cell_length_a 5.3091
_cell_length_b 11.0272
_cell_length_c 7.9629
_cell_angle_alpha 90.00
_cell_angle_beta 120.12
_cell_angle_gamma 90.00
_symmetry_space_group_name_H-M 'P 1 21/c 1'
_symmetry_Int_Tables_number 14
_symmetry_space_group_name_Hall '-P 2ybc'
loop_
_atom_site_label
_atom_site_type_symbol
_atom_site_fract_x
_atom_site_fract_y
_atom_site_fract_z
Hg1 Hg 0.0000 0.0000 0.0000
H1 H 0.1434 0.0501 0.6748
H2 H 0.2622 0.6139 0.0525
H3 H 0.4172 0.2360 0.4460
C1 C 0.2254 0.1969 0.3166
C2 C 0.4214 0.5607 0.1780
N1 N 0.2945 0.1000 0.2406
N2 N 0.3617 0.0316 0.7503
O1 O 0.0241 0.7381 0.2498
```

The 10 most intense peaks (5° ≤ 2θ ≤ 70°), sorted by position:
- hkl 0 1 1, 2θ 15.17, I = 1000
- hkl 0 2 0, 2θ 16.08, I = 539
- hkl 1 1 -1, 2θ 18.82, I = 768
- hkl 1 0 0, 2θ 19.33, I = 311
- hkl 1 0 -2, 2θ 23.24, I = 224
- hkl 0 3 1, 2θ 27.50, I = 324
- hkl 1 2 -2, 2θ 28.39, I = 602
- hkl 1 1 1, 2θ 29.41, I = 293
- hkl 0 2 2, 2θ 30.61, I = 230
- hkl 0 1 3, 2θ 40.08, I = 248

=====

Entry 4:
For Hg3Sb3H6C2Se8N, a crystal structure in the Materials Project, relaxed with PBE gives the simulated powder X-ray diffraction pattern in this record (a wavelength of 1.5418 Å).

```
data_Hg3Sb3H6C2Se8N
_chemical_formula_sum 'Hg12 Sb12 H24 C8 Se32 N4'
_cell_length_a 11.9604
_cell_length_b 16.2511
_cell_length_c 11.2995
_cell_angle_alpha 90.00
_cell_angle_beta 90.00
_cell_angle_gamma 90.00
_symmetry_space_group_name_H-M 'A e m 2'
_symmetry_Int_Tables_number 39
_symmetry_space_group_name_Hall 'A 2 -2b'
loop_
_atom_site_label
_atom_site_type_symbol
_atom_site_fract_x
_atom_site_fract_y
_atom_site_fract_z
Hg1 Hg 0.0000 0.0000 0.0000
Hg2 Hg 0.1772 0.1241 0.2544
Sb1 Sb 0.0163 0.2500 0.5140
Sb2 Sb 0.3364 0.0136 0.9802
H1 H 0.2392 0.2500 0.7542
H2 H 0.3620 0.1961 0.8058
H3 H 0.4717 0.1960 0.1852
H4 H 0.4751 0.2500 0.0450
C1 C 0.3307 0.2500 0.7543
C2 C 0.4936 0.2500 0.6361
Se1 Se 0.0290 0.1340 0.8595
Se2 Se 0.1829 0.0245 0.6401
Se3 Se 0.1890 0.2500 0.0938
Se4 Se 0.3562 0.1334 0.3969
Se5 Se 0.5000 0.0000 0.1340
N1 N 0.3755 0.2500 0.6377
```

The 10 most intense peaks (5° ≤ 2θ ≤ 70°), sorted by position:
- hkl 1 0 0, 2θ 7.39, I = 1000
- hkl 0 2 0, 2θ 10.89, I = 421
- hkl 1 1 1, 2θ 12.07, I = 738
- hkl 2 0 2, 2θ 21.64, I = 215
- hkl 0 4 2, 2θ 27.03, I = 848
- hkl 3 0 2, 2θ 27.38, I = 873
- hkl 1 4 2, 2θ 28.06, I = 281
- hkl 3 2 2, 2θ 29.55, I = 397
- hkl 3 4 4, 2θ 45.23, I = 714
- hkl 3 8 2, 2θ 53.13, I = 218